(1)
Calculated powder X-ray diffraction pattern of Li2Si2Au3 for a wavelength of 1.5418 Å, from the GGA-PBE geometry in Alexandria.

Crystal structure
Cell: 9.3934 4.4455 6.1279 Å, 90.00 107.40 90.00°
Space group C2/m (No. 12)
Unique sites:
Li: 0.1571 0.0000 0.2910
Si: 0.1030 0.5000 0.9312
Au: 0.0000 0.5000 0.5000
Au: 0.1503 0.0000 0.7646

Most intense lines, 2θ from 10° to 90°, most intense first:
2theta  intensity
21.06  100
28.75  62
36.23  49
40.61  45
35.60  41
46.16  27
52.91  21
51.99  15

(2)
Calculated powder X-ray diffraction pattern of HfTeS3 for a wavelength of 1.5418 Å, from the GGA-PBE geometry in Alexandria.

Crystal structure
Cell: 24.9060 3.9018 6.2387 Å, 90.00 100.19 90.00°
Space group C2/m (No. 12)
Unique sites:
Hf: 0.2499 0.0000 0.2501
Te: 0.0052 0.0000 0.2535
S: 0.0541 0.5000 0.7874
S: 0.1929 0.0000 0.8706
S: 0.1926 0.5000 0.3710

Most intense lines, 2θ from 10° to 90°, most intense first:
2theta  intensity
14.45  100
29.10  29
31.25  26
34.93  15
49.00  14
30.17  13
28.24  10
40.95  10

(3)
Calculated powder X-ray diffraction pattern of Pm7NdHo3 for a wavelength of 1.5418 Å, from the GGA-PBE geometry in Alexandria.

Crystal structure
Cell: 6.5683 6.7689 8.7561 Å, 99.79 98.91 95.89°
Space group P-1 (No. 2)
Unique sites:
Pm: 0.0000 0.0000 0.0000
Pm: 0.0546 0.7109 0.6410
Pm: 0.2196 0.2239 0.7098
Pm: 0.4843 0.7385 0.9141
Nd: 0.0000 0.5000 0.0000
Ho: 0.3121 0.9336 0.3373
Ho: 0.5000 0.5000 0.5000

Most intense lines, 2θ from 10° to 90°, most intense first:
2theta  intensity
31.50  100
31.92  83
31.81  78
31.25  62
32.91  43
31.60  27
30.98  26
27.02  26

(4)
Calculated powder X-ray diffraction pattern of RbTl2Sn3O8 for a wavelength of 1.5418 Å, from the GGA-PBE geometry in Alexandria.

Crystal structure
Cell: 6.5351 6.5351 20.8689 Å, 90.00 90.00 120.00°
Space group R3m (No. 160, hexagonal axes)
Unique sites:
Rb: 0.0000 0.0000 0.0000
Tl: 0.0000 0.0000 0.3432
Tl: 0.0000 0.0000 0.7723
Sn: 0.0035 0.5017 0.8632
O: 0.0000 0.0000 0.1407
O: 0.0000 0.0000 0.5805
O: 0.0388 0.5194 0.1423
O: 0.1830 0.3660 0.9142

Most intense lines, 2θ from 10° to 90°, most intense first:
2theta  intensity
26.54  100
30.22  99
32.79  65
23.19  56
27.29  51
56.31  46
47.78  46
36.11  46

(5)
Calculated powder X-ray diffraction pattern of La8Rh3Cl4F for a wavelength of 1.5418 Å, from the GGA-PBE geometry in Alexandria.

Crystal structure
Cell: 8.1620 8.1620 22.8563 Å, 90.00 90.00 120.00°
Space group R-3m (No. 166, hexagonal axes)
Unique sites:
La: 0.0000 0.0000 0.2355
La: 0.0037 0.5019 0.2378
Rh: 0.0000 0.5000 0.5000
Cl: 0.0000 0.0000 0.0000
Cl: 0.0000 0.5000 0.0000
F: 0.0000 0.0000 0.5000

Most intense lines, 2θ from 10° to 90°, most intense first:
2theta  intensity
29.72  100
44.40  35
40.60  34
11.62  26
26.40  20
54.34  18
72.69  15
37.50  14